Structure and computed powder diffractogram of LaNd4Er15 (the PBE geometry in Alexandria; Cu Kα (weighted mean of Kα1 and Kα2)).
Peak positions follow from Bragg's law for the DFT cell and can differ from measured ones.

Largest 10 diffraction maxima, in order of falling intensity, 10 to 80 degrees two-theta:
two_theta	d (Å)	I_rel	(hkl)
30.81	2.902	100	1 1 5
35.65	2.519	34	2 0 0
61.04	1.518	29	3 1 5
51.46	1.776	24	2 0 10
35.87	2.504	17	0 0 10
61.34	1.511	14	1 1 15
64.17	1.451	12	2 2 10
51.30	1.781	12	2 2 0
75.49	1.259	4	4 0 0
76.03	1.252	2	0 0 20

Cell and atoms:
```
data_LaNd4Er15
_cell_length_a 5.037
_cell_length_b 5.037
_cell_length_c 25.036
_cell_angle_alpha 90.00
_cell_angle_beta 90.00
_cell_angle_gamma 90.00
_symmetry_space_group_name_H-M 'P 4/m m m'
_symmetry_Int_Tables_number 123
_symmetry_space_group_name_Hall '-P 4 2'
loop_
_atom_site_label
_atom_site_type_symbol
_atom_site_fract_x
_atom_site_fract_y
_atom_site_fract_z
_atom_site_occupancy
La1 La 0.000 0.000 0.000 1
Nd1 Nd 0.000 0.000 0.200 1
Nd2 Nd 0.000 0.000 0.400 1
Er1 Er 0.000 0.500 0.101 1
Er2 Er 0.000 0.500 0.301 1
Er3 Er 0.000 0.500 0.500 1
Er4 Er 0.500 0.500 0.000 1
Er5 Er 0.500 0.500 0.201 1
Er6 Er 0.500 0.500 0.400 1
```